Diffraction record for BaCdCoP. The powder X-ray diffraction pattern is calculated, not measured: it uses a structure optimized by DFT (PBE) and Cu Kα (λ = 1.5418 Å).

Crystal structure
Cell lengths 3.971, 3.971, 12.306 Å; angles 90.00, 90.00, 90.00 degrees
Fractional coordinates of all 8 atoms:
1 Ba 0.250 0.250 0.225
2 Ba 0.750 0.750 0.775
3 Cd 0.250 0.750 0.500
4 Cd 0.750 0.250 0.500
5 Co 0.250 0.750 0.000
6 Co 0.750 0.250 0.000
7 P 0.250 0.250 0.912
8 P 0.750 0.750 0.088

The 10 most intense peaks (2θ from 10° to 90°), in order of rising 2θ:
d [Å]  2θ/deg  I/Imax
3.779  23.54  43
3.076  29.02  35
2.853  31.35  36
2.738  32.71  14
2.554  35.13  100
1.985  45.69  32
1.758  52.03  14
1.668  55.05  22
1.656  55.48  25
1.230  77.61  24